Diffraction record for SrDyV4O12. The powder diffraction line list is simulated, not measured: it uses DFT lattice parameters and positions (GGA+U) and Cu Kα.
No peak broadening, texture or thermal motion is included.

Crystal structure
```
data_SrDyV4O12
_cell_length_a 7.2825
_cell_length_b 6.0418
_cell_length_c 6.0418
_cell_angle_alpha 69.52
_cell_angle_beta 90.00
_cell_angle_gamma 90.00
_symmetry_space_group_name_H-M 'P 1'
_symmetry_Int_Tables_number 1
loop_
_symmetry_equiv_pos_as_xyz
'x,y,z'
loop_
_atom_site_label
_atom_site_type_symbol
_atom_site_fract_x
_atom_site_fract_y
_atom_site_fract_z
_atom_site_occupancy
Sr1 Sr 0.0000 0.0000 0.0000 1
Dy1 Dy 0.5000 0.4406 0.4406 1
V1 V 0.2542 0.4812 0.9663 1
V2 V 0.2542 0.9663 0.4812 1
V3 V 0.7458 0.4812 0.9663 1
V4 V 0.7458 0.9663 0.4812 1
O1 O 0.0000 0.4278 0.9891 1
O2 O 0.0000 0.9891 0.4278 1
O3 O 0.2092 0.7979 0.7979 1
O4 O 0.2622 0.2941 0.2941 1
O5 O 0.2978 0.3294 0.7838 1
O6 O 0.2978 0.7838 0.3294 1
O7 O 0.5000 0.0228 0.5561 1
O8 O 0.5000 0.5561 0.0228 1
O9 O 0.7022 0.3294 0.7838 1
O10 O 0.7022 0.7838 0.3294 1
O11 O 0.7378 0.2941 0.2941 1
O12 O 0.7908 0.7979 0.7979 1
```

Peak list (8 most intense, 10° ≤ 2θ ≤ 80°, sorted by position)
2theta, I (rel.)
19.9, 100
30.4, 42
31.6, 46
32.4, 20
35.9, 25
42.3, 14
51.9, 15
60.5, 14